(1)
Structure and calculated powder diffractogram of La3Tb8Pm2 (DFT lattice parameters and positions (PBE); Cu Kα (weighted mean of Kα1 and Kα2)).

Peak list (6 most intense, 15° ≤ 2θ ≤ 90°, by intensity)
hkl	two_theta	d [Å]	I_rel
1 2 -2	30.95	2.889	100
1 1 2	30.50	2.931	69
2 0 -1	31.67	2.825	52
0 1 -4	31.89	2.807	28
1 0 -4	32.10	2.788	26
2 -1 3	45.56	1.991	21

Atomic structure:
```
La3Tb8Pm2
1.0
5.6501 0.0000 0.0000
-0.0026 6.9328 0.0000
-2.8018 -2.3867 11.2204
La Tb Pm
3 8 2
direct
0.0000 0.0000 0.0000 La
0.4881 0.7051 0.9767 La
0.5119 0.2949 0.0233 La
0.0774 0.5950 0.1548 Tb
0.1771 0.2608 0.3548 Tb
0.3327 0.4850 0.6656 Tb
0.3754 0.0250 0.7505 Tb
0.6246 0.9750 0.2495 Tb
0.6673 0.5150 0.3344 Tb
0.8229 0.7392 0.6452 Tb
0.9226 0.4050 0.8452 Tb
0.2280 0.8084 0.4552 Pm
0.7720 0.1916 0.5448 Pm
```

(2)
Structure and calculated powder diffractogram of LaTb5Pm2 (DFT lattice parameters and positions (PBE); Cu Kα (weighted mean of Kα1 and Kα2)).

Peak list (6 most intense, 15° ≤ 2θ ≤ 90°, by intensity)
hkl	two_theta	d [Å]	I_rel
1 -4 1	32.17	2.783	100
2 2 -2	30.96	2.888	25
1 -1 3	28.10	3.176	24
2 3 4	59.74	1.548	23
0 1 6	49.73	1.833	20
1 6 -3	55.84	1.646	17

Atomic structure:
```
LaTb5Pm2
1.0
8.5843 0.0000 0.0000
-3.1654 10.8435 0.0000
-3.8958 -2.3432 11.5619
La Tb Pm
4 20 8
direct
0.0277 0.4052 0.1821 La
0.0976 0.3449 0.6936 La
0.9024 0.6551 0.3064 La
0.9723 0.5948 0.8179 La
0.0394 0.9692 0.2542 Tb
0.0892 0.7824 0.6203 Tb
0.1502 0.1547 0.0564 Tb
0.1646 0.7208 0.1301 Tb
0.2146 0.5321 0.4958 Tb
0.2755 0.9082 0.9332 Tb
0.2900 0.4688 0.0064 Tb
0.3505 0.8435 0.4434 Tb
0.4032 0.6593 0.8076 Tb
0.4745 0.5929 0.3189 Tb
0.5255 0.4071 0.6811 Tb
0.5968 0.3407 0.1924 Tb
0.6495 0.1565 0.5566 Tb
0.7100 0.5312 0.9936 Tb
0.7245 0.0918 0.0669 Tb
0.7854 0.4679 0.5042 Tb
0.8354 0.2792 0.8699 Tb
0.8498 0.8453 0.9436 Tb
0.9108 0.2176 0.3797 Tb
0.9606 0.0308 0.7458 Tb
0.2241 0.0930 0.5680 Pm
0.3416 0.2809 0.3697 Pm
0.4118 0.2191 0.8811 Pm
0.4657 0.0303 0.2445 Pm
0.5343 0.9697 0.7555 Pm
0.5882 0.7809 0.1189 Pm
0.6584 0.7191 0.6303 Pm
0.7759 0.9070 0.4320 Pm
```